Structure and calculated powder diffractogram of AlFe3N (a structure optimized by DFT (GGA-PBE); Cu Kα).

Top 6 peaks for 2θ = 5–70°, sorted by position:
2θ/deg	Rel. int.	(hkl)
23.93	21	1 0 0
34.10	3	1 1 0
42.10	100	1 1 1
49.00	60	2 0 0
55.25	6	2 1 0
61.05	1	2 1 1

Atomic structure:
```
AlFe3N
1.0
3.718 0.000 0.000
0.000 3.718 0.000
0.000 0.000 3.718
Al Fe N
1 3 1
Direct
0.000 0.000 0.000 Al
0.000 0.500 0.500 Fe
0.500 0.000 0.500 Fe
0.500 0.500 0.000 Fe
0.500 0.500 0.500 N
```